# 1
The following is a theoretical powder XRD pattern of NdSn3. It was derived from a cell relaxed with GGA-PBE, using λ = 1.5418 Å (Cu Kα).

Main lines, by angle (2θ = 10–80°):
2θ (°)	d [Å]	intensity	(hkl)
18.55	4.783	1	1 0 0
26.35	3.382	1	1 1 0
32.42	2.762	100	1 1 1
37.61	2.392	51	2 0 0
54.24	1.691	36	2 2 0
64.63	1.442	43	3 1 1
67.88	1.381	12	2 2 2

Structural model:
abc: 4.7833 4.7833 4.7833
angles: 90.00 90.00 90.00
Space group Pm-3m (No. 221)
One atom of each set of equivalent atoms:
Nd (0.0000, 0.0000, 0.0000)
Sn (0.0000, 0.5000, 0.5000)

# 2
The following is a theoretical powder XRD pattern of Nd2Zn5Sn. It was derived from a cell relaxed with GGA-PBE, using λ = 1.5418 Å (Cu Kα).

Main lines, by angle (2θ = 10–80°):
2θ (°)	d [Å]	intensity	(hkl)
28.47	3.136	34	1 1 2
32.40	2.764	100	1 3 2
33.62	2.666	57	1 5 0
36.19	2.482	36	1 1 3
38.16	2.358	26	0 6 2
39.70	2.270	19	0 0 4
40.15	2.246	46	2 0 0
44.42	2.040	28	0 6 3

Structural model:
abc: 4.4917 16.5597 9.0816
angles: 90.00 90.00 90.00
Space group Cmcm (No. 63)
One atom of each set of equivalent atoms:
Nd (0.0000, 0.0000, 0.0000)
Nd (0.0000, 0.2050, 0.2500)
Zn (0.0000, 0.1859, 0.6078)
Zn (0.0000, 0.3440, 0.5163)
Zn (0.0000, 0.3946, 0.2500)
Sn (0.0000, 0.4460, 0.7500)

# 3
The following is a theoretical powder XRD pattern of NdZnSn. It was derived from a cell relaxed with GGA-PBE, using λ = 1.5418 Å (Cu Kα).

Main lines, by angle (2θ = 10–80°):
2θ (°)	d [Å]	intensity	(hkl)
27.73	3.217	15	1 0 3
31.32	2.856	100	1 0 4
39.23	2.296	59	1 1 0
44.88	2.020	13	1 0 7
51.03	1.790	26	2 0 4
60.52	1.530	19	1 1 8
66.21	1.412	23	2 1 4
71.11	1.326	10	3 0 0

Structural model:
abc: 4.5927 4.5927 16.4124
angles: 90.00 90.00 120.00
Space group P6_3/mmc (No. 194)
One atom of each set of equivalent atoms:
Nd (0.0000, 0.0000, 0.0000)
Nd (0.0000, 0.0000, 0.2500)
Zn (0.3333, 0.6667, 0.1564)
Sn (0.3333, 0.6667, 0.6150)

# 4
The following is a theoretical powder XRD pattern of NdZnSn. It was derived from a cell relaxed with GGA-PBE, using λ = 1.5418 Å (Cu Kα).

Main lines, by angle (2θ = 10–80°):
2θ (°)	d [Å]	intensity	(hkl)
32.16	2.783	100	0 1 2
37.00	2.430	71	1 1 0
49.11	1.855	8	0 0 4
49.82	1.830	29	2 0 2
63.05	1.474	21	1 1 4
63.65	1.462	28	1 2 2
66.68	1.403	13	3 0 0
78.78	1.215	8	2 2 0

Structural model:
abc: 4.8593 4.8593 7.4199
angles: 90.00 90.00 120.00
Space group P-3m1 (No. 164)
One atom of each set of equivalent atoms:
Nd (0.0000, 0.0000, 0.2332)
Zn (0.3333, 0.6667, 0.0064)
Sn (0.3333, 0.6667, 0.4682)